The following is a theoretical XRD peak list of Mg2Se2Cl. It was derived from the PBE geometry in Alexandria, using Cu Kα (λ = 1.5418 Å).
No peak broadening, texture or thermal motion is included.

Structure:
```
data_Mg2Se2Cl
_chemical_formula_sum 'Mg4 Se4 Cl2'
_space_group_name_H-M_alt 'I 4/m m m'
_space_group_IT_number 139
_space_group_name_Hall '-I 4 2'
_cell_length_a 4.6533
_cell_length_b 4.6533
_cell_length_c 13.4703
_cell_angle_alpha 90.00
_cell_angle_beta 90.00
_cell_angle_gamma 90.00
loop_
_atom_site_label
_atom_site_type_symbol
_atom_site_fract_x
_atom_site_fract_y
_atom_site_fract_z
Mg1 Mg 0.0000 0.0000 0.1599
Se1 Se 0.0000 0.5000 0.2500
Cl1 Cl 0.0000 0.0000 0.5000
```

Peak list (10 most intense, 10° ≤ 2θ ≤ 80°, by intensity)
hkl 0 0 2, 13.1°, d 6.735, rel. 100
hkl 1 1 2, 30.2°, d 2.956, rel. 80
hkl 2 0 0, 38.7°, d 2.327, rel. 41
hkl 1 1 6, 49.1°, d 1.854, rel. 39
hkl 1 1 4, 38.2°, d 2.353, rel. 34
hkl 1 0 3, 27.6°, d 3.231, rel. 26
hkl 0 0 4, 26.5°, d 3.368, rel. 25
hkl 2 0 2, 41.0°, d 2.199, rel. 24
hkl 3 1 6, 77.6°, d 1.231, rel. 19
hkl 2 0 4, 47.5°, d 1.914, rel. 19

***

The following is a theoretical XRD peak list of MgSn2Cl8. It was derived from the PBE geometry in Alexandria, using Cu Kα (λ = 1.5418 Å).
No peak broadening, texture or thermal motion is included.

Structure:
```
data_MgSn2Cl8
_chemical_formula_sum 'Mg2 Sn4 Cl16'
_space_group_name_H-M_alt 'C 1 2/m 1'
_space_group_IT_number 12
_cell_length_a 12.2868
_cell_length_b 10.6455
_cell_length_c 6.3027
_cell_angle_alpha 90.00
_cell_angle_beta 96.76
_cell_angle_gamma 90.00
loop_
_space_group_symop_operation_xyz
'x,y,z'
'-x,-y,-z'
'-x,y,-z'
'x,-y,z'
'x+1/2,y+1/2,z'
'-x+1/2,-y+1/2,-z'
'-x+1/2,y+1/2,-z'
'x+1/2,-y+1/2,z'
loop_
_atom_site_label
_atom_site_type_symbol
_atom_site_fract_x
_atom_site_fract_y
_atom_site_fract_z
Mg1 Mg 0.0000 0.0000 0.0000
Sn1 Sn 0.2207 0.0000 0.6731
Cl1 Cl 0.0892 0.5000 0.1229
Cl2 Cl 0.0918 0.1639 0.7909
Cl3 Cl 0.1759 0.0000 0.2651
```

Peak list (10 most intense, 10° ≤ 2θ ≤ 80°, by intensity)
hkl 0 2 0, 16.7°, d 5.323, rel. 100
hkl 1 1 -1, 17.3°, d 5.131, rel. 85
hkl 1 1 0, 11.0°, d 8.022, rel. 48
hkl 2 2 0, 22.2°, d 4.011, rel. 48
hkl 1 1 1, 18.6°, d 4.759, rel. 42
hkl 3 1 2, 39.3°, d 2.295, rel. 38
hkl 2 2 -2, 35.0°, d 2.565, rel. 37
hkl 2 2 -1, 25.4°, d 3.502, rel. 36
hkl 2 0 1, 21.5°, d 4.132, rel. 35
hkl 3 3 -1, 35.5°, d 2.531, rel. 34

***

The following is a theoretical XRD peak list of Mg2Tl3SnCl9. It was derived from the PBE geometry in Alexandria, using Cu Kα (λ = 1.5418 Å).
No peak broadening, texture or thermal motion is included.

Structure:
```
data_Mg2Tl3SnCl9
_chemical_formula_sum 'Mg2 Tl3 Sn1 Cl9'
_space_group_name_H-M_alt 'P -3 m 1'
_space_group_IT_number 164
_space_group_name_Hall '-P 3 2"'
_cell_length_a 7.2701
_cell_length_b 7.2701
_cell_length_c 9.3523
_cell_angle_alpha 90.00
_cell_angle_beta 90.00
_cell_angle_gamma 120.00
loop_
_atom_site_label
_atom_site_type_symbol
_atom_site_fract_x
_atom_site_fract_y
_atom_site_fract_z
Mg1 Mg 0.3333 0.6667 0.1606
Tl1 Tl 0.0000 0.0000 0.0000
Tl2 Tl 0.3333 0.6667 0.7202
Sn1 Sn 0.0000 0.0000 0.5000
Cl1 Cl 0.0000 0.5000 0.0000
Cl2 Cl 0.1704 0.3408 0.3068
```

Peak list (10 most intense, 10° ≤ 2θ ≤ 80°, by intensity)
hkl 2 0 2, 34.3°, d 2.611, rel. 100
hkl 0 1 2, 23.7°, d 3.754, rel. 97
hkl 1 1 0, 24.5°, d 3.635, rel. 88
hkl 0 2 1, 29.9°, d 2.984, rel. 72
hkl 1 0 1, 17.0°, d 5.223, rel. 53
hkl 1 2 2, 42.6°, d 2.121, rel. 42
hkl 2 2 0, 50.2°, d 1.818, rel. 34
hkl 1 1 4, 46.2°, d 1.966, rel. 22
hkl 3 0 0, 43.1°, d 2.099, rel. 21
hkl 3 1 2, 56.2°, d 1.636, rel. 20

***

The following is a theoretical XRD peak list of Y2MgTeCl. It was derived from the PBE geometry in Alexandria, using Cu Kα (λ = 1.5418 Å).
No peak broadening, texture or thermal motion is included.

Structure:
```
data_Y2MgTeCl
_chemical_formula_sum 'Y2 Mg1 Te1 Cl1'
_space_group_name_H-M_alt 'P 4/m m m'
_space_group_IT_number 123
_space_group_name_Hall '-P 4 2'
_cell_length_a 5.6409
_cell_length_b 5.6409
_cell_length_c 6.3497
_cell_angle_alpha 90.00
_cell_angle_beta 90.00
_cell_angle_gamma 90.00
loop_
_atom_site_label
_atom_site_type_symbol
_atom_site_fract_x
_atom_site_fract_y
_atom_site_fract_z
Y1 Y 0.0000 0.5000 0.0000
Mg1 Mg 0.0000 0.0000 0.5000
Te1 Te 0.5000 0.5000 0.0000
Cl1 Cl 0.5000 0.5000 0.5000
```

Peak list (10 most intense, 10° ≤ 2θ ≤ 80°, by intensity)
hkl 0 0 1, 13.9°, d 6.350, rel. 100
hkl 2 0 0, 31.7°, d 2.820, rel. 64
hkl 2 0 2, 42.9°, d 2.109, rel. 54
hkl 1 0 0, 15.7°, d 5.641, rel. 49
hkl 0 0 2, 28.1°, d 3.175, rel. 44
hkl 2 0 1, 34.8°, d 2.578, rel. 44
hkl 1 0 1, 21.1°, d 4.217, rel. 33
hkl 2 2 2, 54.3°, d 1.689, rel. 26
hkl 1 1 1, 26.4°, d 3.378, rel. 23
hkl 2 2 0, 45.5°, d 1.994, rel. 23

***

The following is a theoretical XRD peak list of Mg3Tl4Cl10. It was derived from the PBE geometry in Alexandria, using Cu Kα (λ = 1.5418 Å).
No peak broadening, texture or thermal motion is included.

Structure:
```
data_Mg3Tl4Cl10
_chemical_formula_sum 'Mg6 Tl8 Cl20'
_space_group_name_H-M_alt 'I 4/m m m'
_space_group_IT_number 139
_space_group_name_Hall '-I 4 2'
_cell_length_a 5.0256
_cell_length_b 5.0256
_cell_length_c 36.0354
_cell_angle_alpha 90.00
_cell_angle_beta 90.00
_cell_angle_gamma 90.00
loop_
_atom_site_label
_atom_site_type_symbol
_atom_site_fract_x
_atom_site_fract_y
_atom_site_fract_z
Mg1 Mg 0.0000 0.0000 0.0000
Mg2 Mg 0.0000 0.0000 0.1408
Tl1 Tl 0.0000 0.0000 0.2988
Tl2 Tl 0.0000 0.0000 0.4321
Cl1 Cl 0.0000 0.0000 0.0697
Cl2 Cl 0.0000 0.0000 0.2093
Cl3 Cl 0.0000 0.5000 0.0000
Cl4 Cl 0.0000 0.5000 0.1385
```

Peak list (10 most intense, 10° ≤ 2θ ≤ 80°, by intensity)
hkl 1 0 7, 24.8°, d 3.596, rel. 100
hkl 1 1 8, 32.1°, d 2.790, rel. 99
hkl 1 1 0, 25.1°, d 3.554, rel. 70
hkl 2 0 0, 35.7°, d 2.513, rel. 67
hkl 1 0 1, 17.8°, d 4.977, rel. 53
hkl 2 1 7, 44.0°, d 2.060, rel. 48
hkl 3 1 8, 61.9°, d 1.499, rel. 29
hkl 2 0 14, 50.8°, d 1.798, rel. 28
hkl 0 0 8, 19.7°, d 4.504, rel. 28
hkl 2 2 0, 51.4°, d 1.777, rel. 23

***

The following is a theoretical XRD peak list of MgTl2ZnCl6. It was derived from the PBE geometry in Alexandria, using Cu Kα (λ = 1.5418 Å).
No peak broadening, texture or thermal motion is included.

Structure:
```
data_MgTl2ZnCl6
_chemical_formula_sum 'Mg1 Tl2 Zn1 Cl6'
_space_group_name_H-M_alt 'P -1'
_space_group_IT_number 2
_cell_length_a 7.0429
_cell_length_b 7.0467
_cell_length_c 7.0470
_cell_angle_alpha 60.34
_cell_angle_beta 60.43
_cell_angle_gamma 60.43
loop_
_space_group_symop_operation_xyz
'x,y,z'
'-x,-y,-z'
loop_
_atom_site_label
_atom_site_type_symbol
_atom_site_fract_x
_atom_site_fract_y
_atom_site_fract_z
Mg1 Mg 0.0000 0.0000 0.0000
Tl1 Tl 0.2505 0.2510 0.2501
Zn1 Zn 0.5000 0.5000 0.5000
Cl1 Cl 0.2150 0.7457 0.2886
Cl2 Cl 0.2520 0.7134 0.7835
Cl3 Cl 0.2886 0.2151 0.7496
```

Peak list (10 most intense, 10° ≤ 2θ ≤ 80°, by intensity)
hkl 0 2 2, 35.9°, d 2.498, rel. 100
hkl 2 1 1, 25.3°, d 3.523, rel. 92
hkl 0 1 -1, 25.1°, d 3.544, rel. 91
hkl 0 2 0, 30.9°, d 2.891, rel. 79
hkl 1 1 0, 17.8°, d 4.997, rel. 58
hkl 3 0 1, 44.4°, d 2.042, rel. 45
hkl 2 4 2, 51.9°, d 1.761, rel. 34
hkl 2 0 -2, 51.6°, d 1.772, rel. 32
hkl 2 2 2, 31.2°, d 2.868, rel. 27
hkl 1 1 -2, 44.3°, d 2.046, rel. 25

***

The following is a theoretical XRD peak list of YMg2Cl. It was derived from the PBE geometry in Alexandria, using Cu Kα (λ = 1.5418 Å).
No peak broadening, texture or thermal motion is included.

Structure:
```
data_YMg2Cl
_chemical_formula_sum 'Y2 Mg4 Cl2'
_space_group_name_H-M_alt 'I -4 m 2'
_space_group_IT_number 119
_space_group_name_Hall 'I -4 -2'
_cell_length_a 4.5565
_cell_length_b 4.5565
_cell_length_c 9.6495
_cell_angle_alpha 90.00
_cell_angle_beta 90.00
_cell_angle_gamma 90.00
loop_
_atom_site_label
_atom_site_type_symbol
_atom_site_fract_x
_atom_site_fract_y
_atom_site_fract_z
Y1 Y 0.0000 0.0000 0.0000
Mg1 Mg 0.0000 0.0000 0.5000
Mg2 Mg 0.0000 0.5000 0.2500
Cl1 Cl 0.0000 0.5000 0.7500
```

Peak list (10 most intense, 10° ≤ 2θ ≤ 80°, by intensity)
hkl 1 1 2, 33.4°, d 2.679, rel. 100
hkl 1 0 1, 21.6°, d 4.120, rel. 43
hkl 2 0 0, 39.6°, d 2.278, rel. 31
hkl 3 1 2, 67.9°, d 1.381, rel. 23
hkl 2 0 4, 55.5°, d 1.656, rel. 22
hkl 0 0 4, 37.3°, d 2.412, rel. 18
hkl 1 1 6, 64.8°, d 1.439, rel. 15
hkl 1 0 3, 34.1°, d 2.628, rel. 13
hkl 2 1 1, 45.5°, d 1.994, rel. 11
hkl 2 2 4, 70.3°, d 1.340, rel. 10

***

The following is a theoretical XRD peak list of YMg2Cl. It was derived from the PBE geometry in Alexandria, using Cu Kα (λ = 1.5418 Å).
No peak broadening, texture or thermal motion is included.

Structure:
```
data_YMg2Cl
_chemical_formula_sum 'Y1 Mg2 Cl1'
_space_group_name_H-M_alt 'P 1 m 1'
_space_group_IT_number 6
_cell_length_a 3.4634
_cell_length_b 5.3700
_cell_length_c 5.8300
_cell_angle_alpha 90.00
_cell_angle_beta 90.27
_cell_angle_gamma 90.00
loop_
_space_group_symop_operation_xyz
'x,y,z'
'x,-y,z'
loop_
_atom_site_label
_atom_site_type_symbol
_atom_site_fract_x
_atom_site_fract_y
_atom_site_fract_z
Y1 Y 0.0000 0.0000 0.0000
Mg1 Mg 0.4954 0.0000 0.4755
Mg2 Mg 0.5103 0.5000 0.2351
Cl1 Cl 0.9998 0.5000 0.8789
```

Peak list (10 most intense, 10° ≤ 2θ ≤ 80°, by intensity)
hkl 0 0 1, 15.2°, d 5.830, rel. 100
hkl 1 2 1, 45.5°, d 1.994, rel. 56
hkl 0 1 2, 35.0°, d 2.562, rel. 54
hkl 0 2 0, 33.4°, d 2.685, rel. 50
hkl 1 0 1, 30.1°, d 2.971, rel. 48
hkl 1 0 -1, 29.9°, d 2.984, rel. 46
hkl 1 1 -1, 34.4°, d 2.608, rel. 32
hkl 0 0 2, 30.7°, d 2.913, rel. 31
hkl 1 1 1, 34.5°, d 2.600, rel. 30
hkl 0 1 0, 16.5°, d 5.370, rel. 25